1.
# BaMgCo4O8
Theoretical X-ray powder pattern, a wavelength of 1.5418 Å. Input: a DFT-relaxed cell (PBE+U, Alexandria).
Peak positions follow from Bragg's law for the DFT cell and can differ from measured ones.

Largest 10 diffraction maxima, in order of rising 2θ, 2θ = 15–90°:
| h k l | 2theta | I (rel.) |
| --- | --- | --- |
| 1 0 1 | 22.80 | 24.3 |
| 1 0 2 | 31.20 | 100.0 |
| 1 1 0 | 33.69 | 90.8 |
| 2 -1 1 | 35.92 | 30.0 |
| 2 0 2 | 46.58 | 34.6 |
| 2 1 2 | 58.71 | 33.2 |
| 3 0 0 | 60.26 | 27.2 |
| 2 -1 4 | 61.48 | 38.7 |
| 4 -1 2 | 79.43 | 12.8 |
| 3 0 4 | 81.87 | 14.0 |

```
data_BaMgCo4O8
_cell_length_a 5.3200
_cell_length_b 5.3200
_cell_length_c 7.3240
_cell_angle_alpha 90.00
_cell_angle_beta 90.00
_cell_angle_gamma 120.00
_symmetry_space_group_name_H-M 'P -3 1 m'
_symmetry_Int_Tables_number 162
_symmetry_space_group_name_Hall '-P 3 2'
loop_
_atom_site_label
_atom_site_fract_x
_atom_site_fract_y
_atom_site_fract_z
_atom_site_occupancy
Ba1 0.0000 0.0000 0.0000 1
Mg1 0.0000 0.0000 0.5000 1
Co1 0.3333 0.6667 0.2533 1
O1 0.0000 0.3178 0.3218 1
O2 0.3333 0.6667 0.0000 1
```

2.
# BaMgCoO3
Theoretical X-ray powder pattern, a wavelength of 1.5418 Å. Input: a DFT-relaxed cell (PBE+U, Alexandria).
Peak positions follow from Bragg's law for the DFT cell and can differ from measured ones.

Largest 10 diffraction maxima, in order of rising 2θ, 2θ = 15–90°:
| h k l | 2theta | I (rel.) |
| --- | --- | --- |
| 1 1 0 | 17.88 | 10.1 |
| 1 1 1 | 23.93 | 35.3 |
| 2 0 0 | 31.86 | 54.7 |
| 1 3 1 | 33.99 | 100.0 |
| 2 2 0 | 36.22 | 25.1 |
| 2 0 2 | 45.68 | 33.7 |
| 2 4 0 | 47.22 | 11.6 |
| 3 3 1 | 58.14 | 48.2 |
| 2 6 0 | 62.19 | 17.2 |
| 3 3 3 | 76.90 | 13.3 |

```
data_BaMgCoO3
_cell_length_a 5.6189
_cell_length_b 10.5724
_cell_length_c 5.6160
_cell_angle_alpha 90.00
_cell_angle_beta 90.00
_cell_angle_gamma 90.00
_symmetry_space_group_name_H-M 'C m c m'
_symmetry_Int_Tables_number 63
_symmetry_space_group_name_Hall '-C 2c 2'
loop_
_atom_site_label
_atom_site_fract_x
_atom_site_fract_y
_atom_site_fract_z
_atom_site_occupancy
Ba1 0.0000 0.2380 0.2500 1
Mg1 0.0000 0.4448 0.7500 1
Co1 0.0000 0.0625 0.7500 1
O1 0.0000 0.2546 0.7500 1
O2 0.2504 0.0000 0.0000 1
```

3.
# Ba2Mg2Tl2Co3O10
Theoretical X-ray powder pattern, a wavelength of 1.5418 Å. Input: a DFT-relaxed cell (PBE+U, Alexandria).
Peak positions follow from Bragg's law for the DFT cell and can differ from measured ones.

Largest 10 diffraction maxima, in order of rising 2θ, 2θ = 15–90°:
| h k l | 2theta | I (rel.) |
| --- | --- | --- |
| 0 1 -3 | 26.00 | 40.4 |
| 1 0 -3 | 26.18 | 34.3 |
| 0 1 3 | 28.79 | 98.5 |
| 1 0 -4 | 28.95 | 100.0 |
| 1 -1 0 | 32.22 | 97.5 |
| 1 0 4 | 32.31 | 29.2 |
| 1 1 -1 | 32.86 | 61.3 |
| 0 0 7 | 35.21 | 54.8 |
| 2 0 -1 | 46.92 | 28.7 |
| 1 1 6 | 48.93 | 26.8 |

```
data_Ba2Mg2Tl2Co3O10
_cell_length_a 3.8736
_cell_length_b 3.9076
_cell_length_c 18.0475
_cell_angle_alpha 96.04
_cell_angle_beta 96.07
_cell_angle_gamma 91.06
_symmetry_space_group_name_H-M 'P 1'
_symmetry_Int_Tables_number 1
_symmetry_space_group_name_Hall 'P 1'
loop_
_atom_site_label
_atom_site_fract_x
_atom_site_fract_y
_atom_site_fract_z
_atom_site_occupancy
Ba1 0.0000 0.0000 0.0000 1
Ba2 0.2810 0.2821 0.5608 1
Mg1 0.0743 0.1190 0.1902 1
Mg2 0.1643 0.2117 0.3708 1
Tl1 0.4203 0.4798 0.8452 1
Tl2 0.8556 0.9154 0.7155 1
Co1 0.5237 0.7616 0.2810 1
Co2 0.5579 0.5615 0.1204 1
Co3 0.7179 0.7245 0.4401 1
O1 0.0035 0.8305 0.2806 1
O2 0.0603 0.5558 0.1236 1
O3 0.2174 0.7160 0.4373 1
O4 0.3691 0.2674 0.7257 1
O5 0.4564 0.2839 0.2805 1
O6 0.4837 0.4715 0.9657 1
O7 0.5649 0.0616 0.1237 1
O8 0.7223 0.2216 0.4373 1
O9 0.7989 0.7876 0.5952 1
O10 0.9235 0.8217 0.8350 1
```

What did the second record say?
# BaMgCoO3
Theoretical X-ray powder pattern, a wavelength of 1.5418 Å. Input: a DFT-relaxed cell (PBE+U, Alexandria).
Peak positions follow from Bragg's law for the DFT cell and can differ from measured ones.

Largest 10 diffraction maxima, in order of rising 2θ, 2θ = 15–90°:
| h k l | 2theta | I (rel.) |
| --- | --- | --- |
| 1 1 0 | 17.88 | 10.1 |
| 1 1 1 | 23.93 | 35.3 |
| 2 0 0 | 31.86 | 54.7 |
| 1 3 1 | 33.99 | 100.0 |
| 2 2 0 | 36.22 | 25.1 |
| 2 0 2 | 45.68 | 33.7 |
| 2 4 0 | 47.22 | 11.6 |
| 3 3 1 | 58.14 | 48.2 |
| 2 6 0 | 62.19 | 17.2 |
| 3 3 3 | 76.90 | 13.3 |

```
data_BaMgCoO3
_cell_length_a 5.6189
_cell_length_b 10.5724
_cell_length_c 5.6160
_cell_angle_alpha 90.00
_cell_angle_beta 90.00
_cell_angle_gamma 90.00
_symmetry_space_group_name_H-M 'C m c m'
_symmetry_Int_Tables_number 63
_symmetry_space_group_name_Hall '-C 2c 2'
loop_
_atom_site_label
_atom_site_fract_x
_atom_site_fract_y
_atom_site_fract_z
_atom_site_occupancy
Ba1 0.0000 0.2380 0.2500 1
Mg1 0.0000 0.4448 0.7500 1
Co1 0.0000 0.0625 0.7500 1
O1 0.0000 0.2546 0.7500 1
O2 0.2504 0.0000 0.0000 1
```

Number 1 is which compound? BaMgCo4O8